(1)
Ba2CaI6: computed powder diffraction line list (Cu Kα X-rays), based on a cell relaxed with GGA-PBE.
Lines closer than 0.1° are merged.

Top 12 peaks for 2θ from 10° to 90°, in order of rising 2θ:
Position (°2θ)  d/Å  Rel. int.
15.9  5.585  45
23.6  3.770  100
25.2  3.532  37
30.8  2.905  56
32.1  2.792  31
35.1  2.555  21
38.5  2.340  53
40.2  2.244  15
47.5  1.916  15
48.3  1.885  18
60.4  1.533  20
66.3  1.410  18

Atomic structure:
```
data_Ba2CaI6
_cell_length_a 7.898
_cell_length_b 7.898
_cell_length_c 15.328
_cell_angle_alpha 90.00
_cell_angle_beta 90.00
_cell_angle_gamma 90.00
_space_group_name_H-M_alt 'P 1'
_space_group_IT_number 1
loop_
_space_group_symop_operation_xyz
'x,y,z'
loop_
_atom_site_label
_atom_site_type_symbol
_atom_site_fract_x
_atom_site_fract_y
_atom_site_fract_z
_atom_site_occupancy
Ba1 Ba 0.000 0.000 0.166 1
Ba2 Ba 0.000 0.000 0.834 1
Ba3 Ba 0.500 0.500 0.334 1
Ba4 Ba 0.500 0.500 0.666 1
Ca1 Ca 0.000 0.000 0.500 1
Ca2 Ca 0.500 0.500 0.000 1
I1 I 0.189 0.189 0.345 1
I2 I 0.189 0.189 0.655 1
I3 I 0.213 0.213 0.000 1
I4 I 0.287 0.713 0.500 1
I5 I 0.311 0.689 0.155 1
I6 I 0.311 0.689 0.845 1
I7 I 0.689 0.311 0.155 1
I8 I 0.689 0.311 0.845 1
I9 I 0.713 0.287 0.500 1
I10 I 0.787 0.787 0.000 1
I11 I 0.811 0.811 0.345 1
I12 I 0.811 0.811 0.655 1
```

(2)
BaCaI4: computed powder diffraction line list (Cu Kα X-rays), based on a cell relaxed with GGA-PBE.
Lines closer than 0.1° are merged.

Top 12 peaks for 2θ from 10° to 90°, in order of rising 2θ:
Position (°2θ)  d/Å  Rel. int.
13.0  6.790  27
23.5  3.793  25
24.2  3.672  53
26.3  3.390  78
27.3  3.263  68
29.2  3.063  43
29.5  3.028  40
30.2  2.961  25
31.2  2.862  41
32.8  2.729  100
35.6  2.519  30
48.1  1.892  25

Atomic structure:
```
data_BaCaI4
_cell_length_a 9.222
_cell_length_b 9.222
_cell_length_c 7.769
_cell_angle_alpha 108.66
_cell_angle_beta 108.66
_cell_angle_gamma 110.41
_space_group_name_H-M_alt 'P 1'
_space_group_IT_number 1
loop_
_space_group_symop_operation_xyz
'x,y,z'
loop_
_atom_site_label
_atom_site_type_symbol
_atom_site_fract_x
_atom_site_fract_y
_atom_site_fract_z
_atom_site_occupancy
Ba1 Ba 0.135 0.865 0.750 1
Ba2 Ba 0.865 0.135 0.250 1
Ca1 Ca 0.498 0.502 0.750 1
Ca2 Ca 0.502 0.498 0.250 1
I1 I 0.148 0.271 0.781 1
I2 I 0.216 0.558 0.421 1
I3 I 0.271 0.148 0.281 1
I4 I 0.442 0.784 0.079 1
I5 I 0.558 0.216 0.921 1
I6 I 0.729 0.852 0.719 1
I7 I 0.784 0.442 0.579 1
I8 I 0.852 0.729 0.219 1
```

(3)
Ba2CaI6: computed powder diffraction line list (Cu Kα X-rays), based on a cell relaxed with GGA-PBE.
Lines closer than 0.1° are merged.

Top 12 peaks for 2θ from 10° to 90°, in order of rising 2θ:
Position (°2θ)  d/Å  Rel. int.
24.8  3.587  23
25.3  3.526  18
25.6  3.481  100
26.4  3.376  58
26.6  3.354  46
27.0  3.297  44
29.0  3.081  19
29.2  3.055  37
29.5  3.024  58
31.3  2.857  18
31.6  2.828  35
48.5  1.876  23

Atomic structure:
```
data_Ba2CaI6
_cell_length_a 10.734
_cell_length_b 9.650
_cell_length_c 18.331
_cell_angle_alpha 90.00
_cell_angle_beta 124.25
_cell_angle_gamma 90.00
_space_group_name_H-M_alt 'P 1'
_space_group_IT_number 1
loop_
_space_group_symop_operation_xyz
'x,y,z'
loop_
_atom_site_label
_atom_site_type_symbol
_atom_site_fract_x
_atom_site_fract_y
_atom_site_fract_z
_atom_site_occupancy
Ba1 Ba 0.143 0.104 0.291 1
Ba2 Ba 0.143 0.396 0.791 1
Ba3 Ba 0.209 0.712 0.095 1
Ba4 Ba 0.209 0.788 0.595 1
Ba5 Ba 0.791 0.212 0.405 1
Ba6 Ba 0.791 0.288 0.905 1
Ba7 Ba 0.857 0.604 0.209 1
Ba8 Ba 0.857 0.896 0.709 1
Ca1 Ca 0.430 0.145 0.070 1
Ca2 Ca 0.430 0.355 0.570 1
Ca3 Ca 0.570 0.645 0.430 1
Ca4 Ca 0.570 0.855 0.930 1
I1 I 0.067 0.107 0.636 1
I2 I 0.067 0.393 0.136 1
I3 I 0.089 0.061 0.926 1
I4 I 0.089 0.439 0.426 1
I5 I 0.230 0.739 0.298 1
I6 I 0.230 0.761 0.798 1
I7 I 0.337 0.054 0.522 1
I8 I 0.337 0.446 0.022 1
I9 I 0.395 0.058 0.219 1
I10 I 0.395 0.442 0.719 1
I11 I 0.474 0.165 0.914 1
I12 I 0.474 0.335 0.414 1
I13 I 0.526 0.665 0.586 1
I14 I 0.526 0.835 0.086 1
I15 I 0.605 0.558 0.281 1
I16 I 0.605 0.942 0.781 1
I17 I 0.663 0.554 0.978 1
I18 I 0.663 0.946 0.478 1
I19 I 0.770 0.239 0.202 1
I20 I 0.770 0.261 0.702 1
I21 I 0.911 0.561 0.574 1
I22 I 0.911 0.939 0.074 1
I23 I 0.933 0.607 0.864 1
I24 I 0.933 0.893 0.364 1
```

(4)
Ba6CaI14: computed powder diffraction line list (Cu Kα X-rays), based on a cell relaxed with GGA-PBE.
Lines closer than 0.1° are merged.

Top 12 peaks for 2θ from 10° to 90°, in order of rising 2θ:
Position (°2θ)  d/Å  Rel. int.
11.4  7.774  52
20.9  4.251  24
22.9  3.887  27
24.8  3.593  44
26.1  3.419  77
27.6  3.234  43
28.1  3.178  24
28.4  3.145  100
29.6  3.019  43
31.3  2.856  69
34.2  2.619  32
43.6  2.076  27

Atomic structure:
```
data_Ba6CaI14
_cell_length_a 13.249
_cell_length_b 13.249
_cell_length_c 19.271
_cell_angle_alpha 90.00
_cell_angle_beta 90.00
_cell_angle_gamma 39.88
_space_group_name_H-M_alt 'P 1'
_space_group_IT_number 1
loop_
_space_group_symop_operation_xyz
'x,y,z'
loop_
_atom_site_label
_atom_site_type_symbol
_atom_site_fract_x
_atom_site_fract_y
_atom_site_fract_z
_atom_site_occupancy
Ba1 Ba 0.078 0.232 0.368 1
Ba2 Ba 0.195 0.805 0.820 1
Ba3 Ba 0.232 0.078 0.632 1
Ba4 Ba 0.268 0.422 0.132 1
Ba5 Ba 0.305 0.695 0.320 1
Ba6 Ba 0.422 0.268 0.868 1
Ba7 Ba 0.578 0.732 0.132 1
Ba8 Ba 0.695 0.305 0.680 1
Ba9 Ba 0.732 0.578 0.868 1
Ba10 Ba 0.768 0.922 0.368 1
Ba11 Ba 0.805 0.195 0.180 1
Ba12 Ba 0.922 0.768 0.632 1
Ca1 Ca 0.000 0.000 0.500 1
Ca2 Ca 0.500 0.500 0.000 1
I1 I 0.002 0.194 0.784 1
I2 I 0.073 0.427 0.250 1
I3 I 0.091 0.909 0.647 1
I4 I 0.141 0.679 0.460 1
I5 I 0.179 0.641 0.960 1
I6 I 0.194 0.002 0.216 1
I7 I 0.241 0.241 0.500 1
I8 I 0.259 0.259 0.000 1
I9 I 0.306 0.498 0.716 1
I10 I 0.321 0.859 0.460 1
I11 I 0.359 0.821 0.960 1
I12 I 0.409 0.591 0.147 1
I13 I 0.427 0.073 0.750 1
I14 I 0.498 0.306 0.284 1
I15 I 0.502 0.694 0.716 1
I16 I 0.573 0.927 0.250 1
I17 I 0.591 0.409 0.853 1
I18 I 0.641 0.179 0.040 1
I19 I 0.679 0.141 0.540 1
I20 I 0.694 0.502 0.284 1
I21 I 0.741 0.741 0.000 1
I22 I 0.759 0.759 0.500 1
I23 I 0.806 0.998 0.784 1
I24 I 0.821 0.359 0.040 1
I25 I 0.859 0.321 0.540 1
I26 I 0.909 0.091 0.353 1
I27 I 0.927 0.573 0.750 1
I28 I 0.998 0.806 0.216 1
```

(5)
BaCaI4: computed powder diffraction line list (Cu Kα X-rays), based on a cell relaxed with GGA-PBE.
Lines closer than 0.1° are merged.

Top 12 peaks for 2θ from 10° to 90°, in order of rising 2θ:
Position (°2θ)  d/Å  Rel. int.
13.1  6.765  20
16.0  5.524  18
21.4  4.144  42
22.0  4.049  75
24.0  3.705  55
30.7  2.916  100
31.1  2.876  83
32.4  2.762  44
37.2  2.417  24
41.0  2.199  29
43.7  2.072  19
50.5  1.809  23

Atomic structure:
```
data_BaCaI4
_cell_length_a 9.663
_cell_length_b 7.409
_cell_length_c 19.055
_cell_angle_alpha 90.00
_cell_angle_beta 119.49
_cell_angle_gamma 90.00
_space_group_name_H-M_alt 'P 1'
_space_group_IT_number 1
loop_
_space_group_symop_operation_xyz
'x,y,z'
loop_
_atom_site_label
_atom_site_type_symbol
_atom_site_fract_x
_atom_site_fract_y
_atom_site_fract_z
_atom_site_occupancy
Ba1 Ba 0.005 0.149 0.127 1
Ba2 Ba 0.005 0.351 0.627 1
Ba3 Ba 0.995 0.649 0.373 1
Ba4 Ba 0.995 0.851 0.873 1
Ca1 Ca 0.498 0.084 0.873 1
Ca2 Ca 0.498 0.416 0.373 1
Ca3 Ca 0.502 0.584 0.627 1
Ca4 Ca 0.502 0.916 0.127 1
I1 I 0.153 0.226 0.826 1
I2 I 0.153 0.274 0.326 1
I3 I 0.156 0.730 0.579 1
I4 I 0.156 0.770 0.079 1
I5 I 0.398 0.743 0.450 1
I6 I 0.398 0.757 0.950 1
I7 I 0.400 0.239 0.695 1
I8 I 0.400 0.261 0.195 1
I9 I 0.600 0.739 0.805 1
I10 I 0.600 0.761 0.305 1
I11 I 0.602 0.243 0.050 1
I12 I 0.602 0.257 0.550 1
I13 I 0.844 0.230 0.921 1
I14 I 0.844 0.270 0.421 1
I15 I 0.847 0.726 0.674 1
I16 I 0.847 0.774 0.174 1
```

(6)
BaCaI4: computed powder diffraction line list (Cu Kα X-rays), based on a cell relaxed with GGA-PBE.
Lines closer than 0.1° are merged.

Top 12 peaks for 2θ from 10° to 90°, in order of rising 2θ:
Position (°2θ)  d/Å  Rel. int.
22.3  3.993  38
24.6  3.618  25
25.0  3.563  41
25.3  3.525  27
26.0  3.432  32
26.5  3.363  100
30.3  2.945  31
31.2  2.869  28
31.6  2.833  26
32.1  2.785  32
34.4  2.605  22
34.6  2.590  38

Atomic structure:
```
data_BaCaI4
_cell_length_a 9.091
_cell_length_b 11.478
_cell_length_c 11.118
_cell_angle_alpha 90.00
_cell_angle_beta 90.00
_cell_angle_gamma 90.00
_space_group_name_H-M_alt 'P 1'
_space_group_IT_number 1
loop_
_space_group_symop_operation_xyz
'x,y,z'
loop_
_atom_site_label
_atom_site_type_symbol
_atom_site_fract_x
_atom_site_fract_y
_atom_site_fract_z
_atom_site_occupancy
Ba1 Ba 0.181 0.250 0.250 1
Ba2 Ba 0.319 0.750 0.250 1
Ba3 Ba 0.681 0.250 0.750 1
Ba4 Ba 0.819 0.750 0.750 1
Ca1 Ca 0.250 0.000 0.683 1
Ca2 Ca 0.250 0.500 0.817 1
Ca3 Ca 0.750 0.000 0.317 1
Ca4 Ca 0.750 0.500 0.183 1
I1 I 0.037 0.533 0.310 1
I2 I 0.037 0.967 0.190 1
I3 I 0.145 0.708 0.956 1
I4 I 0.145 0.792 0.544 1
I5 I 0.355 0.208 0.544 1
I6 I 0.355 0.292 0.956 1
I7 I 0.463 0.033 0.190 1
I8 I 0.463 0.467 0.310 1
I9 I 0.537 0.533 0.690 1
I10 I 0.537 0.967 0.810 1
I11 I 0.645 0.708 0.044 1
I12 I 0.645 0.792 0.456 1
I13 I 0.855 0.208 0.456 1
I14 I 0.855 0.292 0.044 1
I15 I 0.963 0.033 0.810 1
I16 I 0.963 0.467 0.690 1
```

(7)
BaCaI4: computed powder diffraction line list (Cu Kα X-rays), based on a cell relaxed with GGA-PBE.
Lines closer than 0.1° are merged.

Top 12 peaks for 2θ from 10° to 90°, in order of rising 2θ:
Position (°2θ)  d/Å  Rel. int.
11.9  7.462  57
21.8  4.084  44
23.3  3.815  93
23.8  3.733  83
24.3  3.667  42
25.2  3.537  52
26.7  3.341  100
27.6  3.232  39
28.8  3.102  46
30.7  2.917  67
35.1  2.554  63
45.7  1.984  37

Atomic structure:
```
data_BaCaI4
_cell_length_a 8.568
_cell_length_b 8.334
_cell_length_c 17.581
_cell_angle_alpha 90.00
_cell_angle_beta 107.58
_cell_angle_gamma 90.00
_space_group_name_H-M_alt 'P 1'
_space_group_IT_number 1
loop_
_space_group_symop_operation_xyz
'x,y,z'
loop_
_atom_site_label
_atom_site_type_symbol
_atom_site_fract_x
_atom_site_fract_y
_atom_site_fract_z
_atom_site_occupancy
Ba1 Ba 0.218 0.047 0.157 1
Ba2 Ba 0.218 0.453 0.657 1
Ba3 Ba 0.782 0.547 0.343 1
Ba4 Ba 0.782 0.953 0.843 1
Ca1 Ca 0.313 0.154 0.903 1
Ca2 Ca 0.313 0.346 0.403 1
Ca3 Ca 0.687 0.654 0.597 1
Ca4 Ca 0.687 0.846 0.097 1
I1 I 0.038 0.240 0.976 1
I2 I 0.038 0.260 0.476 1
I3 I 0.039 0.143 0.741 1
I4 I 0.039 0.357 0.241 1
I5 I 0.453 0.690 0.420 1
I6 I 0.453 0.810 0.920 1
I7 I 0.459 0.689 0.177 1
I8 I 0.459 0.811 0.677 1
I9 I 0.541 0.189 0.323 1
I10 I 0.541 0.311 0.823 1
I11 I 0.547 0.190 0.080 1
I12 I 0.547 0.310 0.580 1
I13 I 0.961 0.643 0.759 1
I14 I 0.961 0.857 0.259 1
I15 I 0.962 0.740 0.524 1
I16 I 0.962 0.760 0.024 1
```

(8)
Ba2CaI6: computed powder diffraction line list (Cu Kα X-rays), based on a cell relaxed with GGA-PBE.
Lines closer than 0.1° are merged.

Top 12 peaks for 2θ from 10° to 90°, in order of rising 2θ:
Position (°2θ)  d/Å  Rel. int.
24.0  3.705  19
25.3  3.521  100
26.4  3.380  54
28.5  3.136  69
28.6  3.125  28
28.9  3.091  65
29.5  3.024  54
29.7  3.011  21
30.6  2.924  46
31.0  2.881  67
33.4  2.679  21
34.3  2.611  21

Atomic structure:
```
data_Ba2CaI6
_cell_length_a 9.220
_cell_length_b 9.220
_cell_length_c 10.205
_cell_angle_alpha 91.35
_cell_angle_beta 91.35
_cell_angle_gamma 119.26
_space_group_name_H-M_alt 'P 1'
_space_group_IT_number 1
loop_
_space_group_symop_operation_xyz
'x,y,z'
loop_
_atom_site_label
_atom_site_type_symbol
_atom_site_fract_x
_atom_site_fract_y
_atom_site_fract_z
_atom_site_occupancy
Ba1 Ba 0.107 0.780 0.513 1
Ba2 Ba 0.220 0.893 0.987 1
Ba3 Ba 0.780 0.107 0.013 1
Ba4 Ba 0.893 0.220 0.487 1
Ca1 Ca 0.452 0.548 0.750 1
Ca2 Ca 0.548 0.452 0.250 1
I1 I 0.062 0.490 0.786 1
I2 I 0.156 0.197 0.157 1
I3 I 0.197 0.156 0.657 1
I4 I 0.317 0.553 0.451 1
I5 I 0.447 0.683 0.049 1
I6 I 0.490 0.062 0.286 1
I7 I 0.510 0.938 0.714 1
I8 I 0.553 0.317 0.951 1
I9 I 0.683 0.447 0.549 1
I10 I 0.803 0.844 0.343 1
I11 I 0.844 0.803 0.843 1
I12 I 0.938 0.510 0.214 1
```

(9)
Ba2CaI6: computed powder diffraction line list (Cu Kα X-rays), based on a cell relaxed with GGA-PBE.
Lines closer than 0.1° are merged.

Top 12 peaks for 2θ from 10° to 90°, in order of rising 2θ:
Position (°2θ)  d/Å  Rel. int.
14.9  5.956  21
18.2  4.885  26
23.8  3.733  48
24.5  3.631  100
31.3  2.858  32
31.8  2.812  49
36.9  2.434  40
38.3  2.351  16
41.5  2.177  25
44.0  2.057  18
45.6  1.989  14
61.4  1.510  16

Atomic structure:
```
data_Ba2CaI6
_cell_length_a 7.698
_cell_length_b 28.208
_cell_length_c 8.536
_cell_angle_alpha 90.00
_cell_angle_beta 90.00
_cell_angle_gamma 90.00
_space_group_name_H-M_alt 'P 1'
_space_group_IT_number 1
loop_
_space_group_symop_operation_xyz
'x,y,z'
loop_
_atom_site_label
_atom_site_type_symbol
_atom_site_fract_x
_atom_site_fract_y
_atom_site_fract_z
_atom_site_occupancy
Ba1 Ba 0.000 0.049 0.250 1
Ba2 Ba 0.000 0.284 0.750 1
Ba3 Ba 0.000 0.716 0.250 1
Ba4 Ba 0.000 0.951 0.750 1
Ba5 Ba 0.500 0.216 0.250 1
Ba6 Ba 0.500 0.451 0.750 1
Ba7 Ba 0.500 0.549 0.250 1
Ba8 Ba 0.500 0.784 0.750 1
Ca1 Ca 0.000 0.382 0.250 1
Ca2 Ca 0.000 0.618 0.750 1
Ca3 Ca 0.500 0.118 0.750 1
Ca4 Ca 0.500 0.882 0.250 1
I1 I 0.230 0.372 0.554 1
I2 I 0.230 0.628 0.054 1
I3 I 0.231 0.302 0.091 1
I4 I 0.231 0.698 0.591 1
I5 I 0.248 0.458 0.089 1
I6 I 0.248 0.542 0.589 1
I7 I 0.252 0.042 0.589 1
I8 I 0.252 0.958 0.089 1
I9 I 0.269 0.198 0.591 1
I10 I 0.269 0.802 0.091 1
I11 I 0.270 0.128 0.054 1
I12 I 0.270 0.872 0.554 1
I13 I 0.730 0.128 0.446 1
I14 I 0.730 0.872 0.946 1
I15 I 0.731 0.198 0.909 1
I16 I 0.731 0.802 0.409 1
I17 I 0.748 0.042 0.911 1
I18 I 0.748 0.958 0.411 1
I19 I 0.752 0.458 0.411 1
I20 I 0.752 0.542 0.911 1
I21 I 0.769 0.302 0.409 1
I22 I 0.769 0.698 0.909 1
I23 I 0.770 0.372 0.946 1
I24 I 0.770 0.628 0.446 1
```

(10)
BaCaI4: computed powder diffraction line list (Cu Kα X-rays), based on a cell relaxed with GGA-PBE.
Lines closer than 0.1° are merged.

Top 12 peaks for 2θ from 10° to 90°, in order of rising 2θ:
Position (°2θ)  d/Å  Rel. int.
12.1  7.310  22
24.3  3.662  53
24.4  3.644  100
32.4  2.762  34
32.6  2.750  17
36.7  2.446  31
37.3  2.411  18
42.6  2.123  9
43.0  2.103  22
45.0  2.014  20
57.8  1.594  11
63.8  1.459  9

Atomic structure:
```
data_BaCaI4
_cell_length_a 7.311
_cell_length_b 4.822
_cell_length_c 8.517
_cell_angle_alpha 90.00
_cell_angle_beta 90.53
_cell_angle_gamma 90.00
_space_group_name_H-M_alt 'P 1'
_space_group_IT_number 1
loop_
_space_group_symop_operation_xyz
'x,y,z'
loop_
_atom_site_label
_atom_site_type_symbol
_atom_site_fract_x
_atom_site_fract_y
_atom_site_fract_z
_atom_site_occupancy
Ba1 Ba 0.000 0.000 0.000 1
Ca1 Ca 0.000 0.500 0.500 1
I1 I 0.237 0.000 0.357 1
I2 I 0.253 0.500 0.807 1
I3 I 0.747 0.500 0.193 1
I4 I 0.763 0.000 0.643 1
```